Record 1
For LaHfNi, a PBE-relaxed structure gives the theoretical powder diffraction line list in this record (Cu Kα (λ = 1.5418 Å)).
Peak positions follow from Bragg's law for the DFT cell and can differ from measured ones.

Peak list (10 most intense, 10 to 90 degrees two-theta, sorted by position)
two_theta, I (rel.)
31.1, 100
32.8, 52
33.6, 22
35.7, 36
37.3, 44
37.7, 22
39.1, 18
46.2, 19
54.0, 15
60.8, 21

Atomic structure:
```
LaHfNi
1.0
4.824 0.000 0.000
0.000 6.401 3.318
0.000 -6.401 3.318
La Hf Ni
3 3 3
Direct
0.000 0.000 0.000 La
0.000 0.220 0.612 La
0.000 0.612 0.220 La
0.500 0.356 0.356 Hf
0.500 0.632 0.892 Hf
0.500 0.892 0.632 Hf
0.000 0.568 0.568 Ni
0.500 0.310 0.967 Ni
0.500 0.967 0.310 Ni
```

=====

Record 2
For Cs3K8Li, a PBE-relaxed structure gives the theoretical powder diffraction line list in this record (Cu Kα (λ = 1.5418 Å)).
Peak positions follow from Bragg's law for the DFT cell and can differ from measured ones.

Peak list (10 most intense, 10 to 90 degrees two-theta, sorted by position)
two_theta, I (rel.)
16.4, 80
18.1, 26
20.3, 48
22.8, 98
23.9, 100
29.1, 27
30.7, 27
38.0, 41
41.3, 32
46.4, 30

Atomic structure:
```
Cs3K8Li
1.0
14.922 0.000 0.000
-7.461 12.923 0.000
0.000 0.000 9.791
Cs K Li
6 16 2
Direct
0.159 0.319 0.000 Cs
0.159 0.841 0.000 Cs
0.319 0.159 0.500 Cs
0.681 0.841 0.000 Cs
0.841 0.159 0.500 Cs
0.841 0.681 0.500 Cs
0.000 0.000 0.250 K
0.000 0.000 0.750 K
0.024 0.512 0.225 K
0.217 0.434 0.500 K
0.217 0.783 0.500 K
0.333 0.667 0.856 K
0.434 0.217 0.000 K
0.488 0.512 0.225 K
0.488 0.976 0.225 K
0.512 0.024 0.725 K
0.512 0.488 0.725 K
0.566 0.783 0.500 K
0.667 0.333 0.356 K
0.783 0.217 0.000 K
0.783 0.566 0.000 K
0.976 0.488 0.725 K
0.333 0.667 0.239 Li
0.667 0.333 0.739 Li
```

=====

Record 3
For YTiTlO4, a PBE-relaxed structure gives the theoretical powder diffraction line list in this record (Cu Kα (λ = 1.5418 Å)).
Peak positions follow from Bragg's law for the DFT cell and can differ from measured ones.

Peak list (10 most intense, 10 to 90 degrees two-theta, sorted by position)
two_theta, I (rel.)
21.3, 100
22.2, 40
22.5, 48
28.7, 68
29.0, 43
29.5, 57
33.5, 29
36.8, 21
40.0, 21
57.3, 22

Atomic structure:
```
YTiTlO4
1.0
6.008 0.000 0.000
0.000 6.054 0.000
-2.258 0.000 7.242
Y Ti Tl O
2 2 2 8
Direct
0.186 0.250 0.049 Y
0.814 0.750 0.951 Y
0.278 0.750 0.846 Ti
0.722 0.250 0.154 Ti
0.313 0.250 0.584 Tl
0.687 0.750 0.416 Tl
0.067 0.524 0.840 O
0.067 0.976 0.840 O
0.480 0.750 0.706 O
0.491 0.750 0.068 O
0.509 0.250 0.932 O
0.520 0.250 0.294 O
0.933 0.024 0.160 O
0.933 0.476 0.160 O
```

=====

Record 4
For YCuSn3, a PBE-relaxed structure gives the theoretical powder diffraction line list in this record (Cu Kα (λ = 1.5418 Å)).
Peak positions follow from Bragg's law for the DFT cell and can differ from measured ones.

Peak list (10 most intense, 10 to 90 degrees two-theta, sorted by position)
two_theta, I (rel.)
28.6, 32
29.7, 63
30.1, 32
32.2, 90
32.7, 50
35.4, 95
36.1, 62
36.5, 55
41.5, 100
69.6, 35

Atomic structure:
```
YCuSn3
1.0
12.466 0.000 0.000
0.000 6.208 0.000
0.000 0.000 6.107
Y Cu Sn
4 4 12
Direct
0.197 0.005 0.250 Y
0.197 0.495 0.750 Y
0.803 0.505 0.250 Y
0.803 0.995 0.750 Y
0.383 0.250 0.000 Cu
0.383 0.250 0.500 Cu
0.617 0.750 0.000 Cu
0.617 0.750 0.500 Cu
0.001 0.250 0.000 Sn
0.001 0.250 0.500 Sn
0.261 0.517 0.250 Sn
0.261 0.983 0.750 Sn
0.446 0.605 0.750 Sn
0.446 0.895 0.250 Sn
0.554 0.105 0.750 Sn
0.554 0.395 0.250 Sn
0.739 0.017 0.250 Sn
0.739 0.483 0.750 Sn
0.999 0.750 0.000 Sn
0.999 0.750 0.500 Sn
```

=====

Record 5
For K4PrOs3O12, a PBE-relaxed structure gives the theoretical powder diffraction line list in this record (Cu Kα (λ = 1.5418 Å)).
Peak positions follow from Bragg's law for the DFT cell and can differ from measured ones.

Peak list (10 most intense, 10 to 90 degrees two-theta, sorted by position)
two_theta, I (rel.)
21.6, 68
30.8, 100
38.0, 7
44.1, 31
49.7, 31
54.8, 39
64.2, 19
68.6, 15
72.9, 17
89.3, 21

Atomic structure:
```
K4PrOs3O12
1.0
-4.105 4.105 4.105
4.105 -4.105 4.105
4.105 4.105 -4.105
K Pr Os O
4 1 3 12
Direct
0.000 0.000 0.500 K
0.000 0.500 0.000 K
0.500 0.000 0.000 K
0.500 0.500 0.500 K
0.000 0.000 0.000 Pr
0.000 0.500 0.500 Os
0.500 0.000 0.500 Os
0.500 0.500 0.000 Os
0.000 0.275 0.275 O
0.000 0.725 0.725 O
0.250 0.500 0.750 O
0.250 0.750 0.500 O
0.275 0.000 0.275 O
0.275 0.275 0.000 O
0.500 0.250 0.750 O
0.500 0.750 0.250 O
0.725 0.000 0.725 O
0.725 0.725 0.000 O
0.750 0.250 0.500 O
0.750 0.500 0.250 O
```

=====

Record 6
For ReSn3, a PBE-relaxed structure gives the theoretical powder diffraction line list in this record (Cu Kα (λ = 1.5418 Å)).
Peak positions follow from Bragg's law for the DFT cell and can differ from measured ones.

Peak list (10 most intense, 10 to 90 degrees two-theta, sorted by position)
two_theta, I (rel.)
21.9, 3
25.4, 2
36.2, 100
42.7, 2
52.1, 18
57.2, 1
58.8, 1
65.1, 38
76.8, 12
88.0, 18

Atomic structure:
```
ReSn3
1.0
7.018 0.000 0.000
0.000 7.018 0.000
0.000 0.000 7.018
Re Sn
4 12
Direct
0.000 0.000 0.000 Re
0.000 0.500 0.500 Re
0.500 0.000 0.500 Re
0.500 0.500 0.000 Re
0.000 0.000 0.500 Sn
0.000 0.500 0.000 Sn
0.250 0.250 0.250 Sn
0.250 0.250 0.750 Sn
0.250 0.750 0.250 Sn
0.250 0.750 0.750 Sn
0.500 0.000 0.000 Sn
0.500 0.500 0.500 Sn
0.750 0.250 0.250 Sn
0.750 0.250 0.750 Sn
0.750 0.750 0.250 Sn
0.750 0.750 0.750 Sn
```

=====

Record 7
For PtPb5, a PBE-relaxed structure gives the theoretical powder diffraction line list in this record (Cu Kα (λ = 1.5418 Å)).
Peak positions follow from Bragg's law for the DFT cell and can differ from measured ones.

Peak list (10 most intense, 10 to 90 degrees two-theta, sorted by position)
two_theta, I (rel.)
29.4, 100
31.7, 64
34.8, 30
35.4, 50
35.7, 66
38.2, 20
41.7, 37
55.4, 36
57.7, 27
61.7, 23

Atomic structure:
```
PtPb5
1.0
10.059 0.000 0.000
0.000 4.332 0.000
0.000 0.000 8.006
Pt Pb
2 10
Direct
0.250 0.000 0.212 Pt
0.750 0.000 0.788 Pt
0.000 0.000 0.000 Pb
0.069 0.500 0.316 Pb
0.250 0.000 0.579 Pb
0.250 0.500 0.927 Pb
0.431 0.500 0.316 Pb
0.500 0.000 0.000 Pb
0.569 0.500 0.684 Pb
0.750 0.000 0.421 Pb
0.750 0.500 0.073 Pb
0.931 0.500 0.684 Pb
```

=====

Record 8
For RbDyGe2I8, a PBE-relaxed structure gives the theoretical powder diffraction line list in this record (Cu Kα (λ = 1.5418 Å)).
Peak positions follow from Bragg's law for the DFT cell and can differ from measured ones.

Peak list (10 most intense, 10 to 90 degrees two-theta, sorted by position)
two_theta, I (rel.)
13.0, 72
15.8, 54
22.2, 39
22.7, 89
22.9, 70
23.2, 38
24.3, 100
26.8, 70
28.6, 39
30.2, 51

Atomic structure:
```
RbDyGe2I8
1.0
7.375 0.000 0.000
2.064 8.015 0.000
0.096 1.993 9.633
Rb Dy Ge I
1 1 2 8
Direct
0.000 0.000 0.000 Rb
0.000 0.000 0.500 Dy
0.428 0.404 0.221 Ge
0.572 0.596 0.779 Ge
0.107 0.326 0.364 I
0.256 0.792 0.326 I
0.297 0.386 0.968 I
0.325 0.931 0.720 I
0.675 0.069 0.280 I
0.703 0.614 0.032 I
0.744 0.208 0.674 I
0.893 0.674 0.636 I
```